For La3TiGa5O14, a DFT-relaxed cell (GGA-PBE, Alexandria) gives the simulated powder X-ray diffraction pattern in this record (Cu Kα).
Neutral-atom scattering factors, no anomalous dispersion.

Cell and atoms:
```
data_La3TiGa5O14
_chemical_formula_sum 'La3 Ti1 Ga5 O14'
_cell_length_a 8.309
_cell_length_b 8.309
_cell_length_c 5.143
_cell_angle_alpha 90.00
_cell_angle_beta 90.00
_cell_angle_gamma 120.00
_space_group_name_H-M_alt 'P 1'
_space_group_IT_number 1
loop_
_space_group_symop_operation_xyz
'x,y,z'
loop_
_atom_site_label
_atom_site_type_symbol
_atom_site_fract_x
_atom_site_fract_y
_atom_site_fract_z
La1 La 0.000 0.579 0.000
La2 La 0.421 0.421 0.000
La3 La 0.579 0.000 0.000
Ti1 Ti 0.000 0.000 0.000
Ga1 Ga 0.000 0.241 0.500
Ga2 Ga 0.241 0.000 0.500
Ga3 Ga 0.333 0.667 0.532
Ga4 Ga 0.667 0.333 0.468
Ga5 Ga 0.759 0.759 0.500
O1 O 0.076 0.859 0.235
O2 O 0.141 0.217 0.235
O3 O 0.145 0.457 0.699
O4 O 0.217 0.141 0.765
O5 O 0.311 0.855 0.699
O6 O 0.333 0.667 0.178
O7 O 0.457 0.145 0.301
O8 O 0.543 0.689 0.699
O9 O 0.667 0.333 0.822
O10 O 0.689 0.543 0.301
O11 O 0.783 0.924 0.235
O12 O 0.855 0.311 0.301
O13 O 0.859 0.076 0.765
O14 O 0.924 0.783 0.765
```

Principal peaks in the range 15 to 90 degrees two-theta, in order of rising 2θ:
2θ = 27.6°, I = 100.0, (1 1 1); 2θ = 30.3°, I = 91.8, (0 2 1); 2θ = 32.9°, I = 36.6, (2 1 0); 2θ = 34.9°, I = 17.8, (0 0 2); 2θ = 37.4°, I = 23.5, (3 0 0); 2θ = 45.4°, I = 22.5, (3 1 0); 2θ = 48.7°, I = 38.6, (1 2 2); 2θ = 49.0°, I = 28.9, (3 1 1); 2θ = 52.1°, I = 12.5, (3 0 2); 2θ = 58.5°, I = 11.2, (1 3 2); 2θ = 58.8°, I = 26.0, (3 2 1); 2θ = 59.8°, I = 13.6, (0 2 3)